1.
The following is a calculated powder diffraction line list of Mg6GaCo. It was derived from DFT lattice parameters and positions (GGA-PBE), using copper Kα.
No peak broadening, texture or thermal motion is included.

Most intense lines, 2θ from 10° to 90°, by angle:
| h k l | 2θ/deg | I/Imax |
| --- | --- | --- |
| 0 1 1 | 16.92 | 40 |
| 1 0 2 | 25.17 | 18 |
| 0 2 2 | 34.23 | 25 |
| 2 0 0 | 37.38 | 39 |
| 1 2 2 | 39.15 | 100 |
| 1 0 4 | 39.34 | 49 |

Structure:
abc: 4.8114 6.0624 10.4163
angles: 90.00 90.00 90.00
Space group Amm2 (No. 38)
Asymmetric unit:
Mg (0.0000, 0.0000, 0.0000)
Mg (0.0000, 0.2358, 0.7426)
Mg (0.5000, 0.0000, 0.1673)
Mg (0.5000, 0.2455, 0.4200)
Ga (0.0000, 0.0000, 0.5077)
Co (0.5000, 0.0000, 0.6658)

2.
The following is a calculated powder diffraction line list of Mg6GaCo. It was derived from DFT lattice parameters and positions (GGA-PBE), using copper Kα.
No peak broadening, texture or thermal motion is included.

Most intense lines, 2θ from 10° to 90°, by angle:
| h k l | 2θ/deg | I/Imax |
| --- | --- | --- |
| 0 0 2 | 17.11 | 26 |
| 1 0 0 | 18.63 | 18 |
| 0 2 2 | 34.37 | 30 |
| 2 0 0 | 37.77 | 37 |
| 1 2 2 | 39.37 | 100 |
| 1 0 4 | 39.59 | 50 |

Structure:
abc: 4.7635 6.0402 10.3659
angles: 90.00 90.00 90.00
Space group Amm2 (No. 38)
Asymmetric unit:
Mg (0.0000, 0.0000, 0.0000)
Mg (0.0000, 0.0000, 0.4935)
Mg (0.0000, 0.2398, 0.2364)
Mg (0.5000, 0.2487, 0.9086)
Ga (0.5000, 0.0000, 0.6569)
Co (0.5000, 0.0000, 0.1580)

3.
The following is a calculated powder diffraction line list of Mn2GaCo. It was derived from DFT lattice parameters and positions (GGA-PBE), using copper Kα.
No peak broadening, texture or thermal motion is included.

Most intense lines, 2θ from 10° to 90°, by angle:
| h k l | 2θ/deg | I/Imax |
| --- | --- | --- |
| 1 1 1 | 26.19 | 1 |
| 2 2 0 | 43.44 | 100 |
| 3 1 1 | 51.43 | 1 |
| 4 0 0 | 63.11 | 15 |
| 4 2 2 | 79.72 | 29 |

Structure:
abc: 5.8926 5.8926 5.8926
angles: 90.00 90.00 90.00
Space group F-43m (No. 216)
Asymmetric unit:
Mn (0.0000, 0.0000, 0.0000)
Mn (0.2500, 0.2500, 0.2500)
Ga (0.0000, 0.0000, 0.5000)
Co (0.2500, 0.2500, 0.7500)

4.
The following is a calculated powder diffraction line list of MnGa2Co. It was derived from DFT lattice parameters and positions (GGA-PBE), using copper Kα.
No peak broadening, texture or thermal motion is included.

Most intense lines, 2θ from 10° to 90°, by angle:
| h k l | 2θ/deg | I/Imax |
| --- | --- | --- |
| 2 0 0 | 30.70 | 2 |
| 2 2 0 | 43.97 | 100 |
| 2 2 2 | 54.58 | 1 |
| 4 0 0 | 63.93 | 15 |
| 4 2 0 | 72.58 | 1 |
| 4 2 2 | 80.84 | 30 |

Structure:
abc: 5.8250 5.8250 5.8250
angles: 90.00 90.00 90.00
Space group Fm-3m (No. 225)
Asymmetric unit:
Mn (0.0000, 0.0000, 0.0000)
Ga (0.2500, 0.2500, 0.2500)
Co (0.0000, 0.0000, 0.5000)

5.
The following is a calculated powder diffraction line list of MnVGaCo. It was derived from DFT lattice parameters and positions (GGA-PBE), using copper Kα.
No peak broadening, texture or thermal motion is included.

Most intense lines, 2θ from 10° to 90°, by angle:
| h k l | 2θ/deg | I/Imax |
| --- | --- | --- |
| 1 1 1 | 26.81 | 2 |
| 2 2 0 | 44.49 | 100 |
| 3 1 1 | 52.71 | 1 |
| 4 0 0 | 64.74 | 15 |
| 3 3 1 | 71.38 | 1 |
| 4 2 2 | 81.94 | 29 |

Structure:
abc: 5.7600 5.7600 5.7600
angles: 90.00 90.00 90.00
Space group P-43m (No. 215)
Asymmetric unit:
Mn (0.0000, 0.0000, 0.0000)
Mn (0.0000, 0.0000, 0.5000)
V (0.2434, 0.2434, 0.7566)
Ga (0.2524, 0.2524, 0.2524)
Co (0.0000, 0.5000, 0.5000)
Co (0.5000, 0.5000, 0.5000)

6.
The following is a calculated powder diffraction line list of MnV2Ga2Co3. It was derived from DFT lattice parameters and positions (GGA-PBE), using copper Kα.
No peak broadening, texture or thermal motion is included.

Most intense lines, 2θ from 10° to 90°, by angle:
| h k l | 2θ/deg | I/Imax |
| --- | --- | --- |
| 1 1 1 | 26.87 | 2 |
| 2 2 0 | 44.60 | 100 |
| 3 1 1 | 52.84 | 1 |
| 4 0 0 | 64.91 | 15 |
| 3 3 1 | 71.57 | 1 |
| 4 2 2 | 82.18 | 29 |

Structure:
abc: 5.7465 5.7465 5.7465
angles: 90.00 90.00 90.00
Space group Pn-3m (No. 224, origin choice 2)
Asymmetric unit:
Mn (0.2500, 0.2500, 0.2500)
V (0.0000, 0.0000, 0.0000)
Ga (0.0000, 0.0000, 0.5000)
Co (0.2500, 0.2500, 0.7500)

7.
The following is a calculated powder diffraction line list of GaCo2N3. It was derived from DFT lattice parameters and positions (GGA-PBE), using copper Kα.
No peak broadening, texture or thermal motion is included.

Most intense lines, 2θ from 10° to 90°, by angle:
| h k l | 2θ/deg | I/Imax |
| --- | --- | --- |
| 1 1 1 | 21.90 | 100 |
| 1 1 2 | 26.48 | 48 |
| 2 0 -2 | 34.81 | 65 |
| 1 3 0 | 35.94 | 49 |
| 1 3 -2 | 38.37 | 45 |
| 1 1 -5 | 42.14 | 52 |

Structure:
abc: 5.4364 8.4633 11.5328
angles: 90.00 98.04 90.00
Space group C2/c (No. 15)
Asymmetric unit:
Ga (0.1877, 0.2020, 0.1872)
Co (0.0648, 0.1286, 0.9821)
Co (0.0776, 0.4991, 0.6216)
N (0.0000, 0.3607, 0.2500)
N (0.0000, 0.3657, 0.7500)
N (0.0754, 0.3534, 0.9906)
N (0.0825, 0.0515, 0.3915)

8.
The following is a calculated powder diffraction line list of Ga2CoN3. It was derived from DFT lattice parameters and positions (GGA-PBE), using copper Kα.
No peak broadening, texture or thermal motion is included.

Most intense lines, 2θ from 10° to 90°, by angle:
| h k l | 2θ/deg | I/Imax |
| --- | --- | --- |
| 3 1 0 | 32.23 | 50 |
| 0 0 2 | 34.85 | 55 |
| 3 1 1 | 36.77 | 100 |
| 0 2 1 | 37.19 | 55 |
| 3 3 0 | 58.08 | 30 |
| 3 1 3 | 63.75 | 30 |

Structure:
abc: 9.6665 5.4759 5.1482
angles: 90.00 90.00 90.00
Space group Cmc2_1 (No. 36)
Asymmetric unit:
Ga (0.1667, 0.1657, 0.0000)
Co (0.0000, 0.3460, 0.5000)
N (0.0000, 0.3348, 0.8635)
N (0.1648, 0.1734, 0.3811)